Record 1
Starting from a crystal structure in the Materials Project, relaxed with GGA-PBE, the powder diffraction line list of CaAl2B2O7 was calculated for λ = 1.5418 Å (Cu Kα).
Lines closer than 0.1° are merged.

Structure:
Cell: 15.9603 15.9603 15.9603 Å, 17.53 17.53 17.53°
Fractional positions:
1 Ca 0.0000 0.0000 0.0000
2 Ca 0.5000 0.5000 0.5000
3 Al 0.2141 0.2141 0.2141
4 Al 0.2859 0.2859 0.2859
5 Al 0.7141 0.7141 0.7141
6 Al 0.7859 0.7859 0.7859
7 B 0.1342 0.1342 0.1342
8 B 0.3658 0.3658 0.3658
9 B 0.6342 0.6342 0.6342
10 B 0.8658 0.8658 0.8658
11 O 0.0635 0.4030 0.6282
12 O 0.0970 0.4365 0.8718
13 O 0.1282 0.9030 0.5635
14 O 0.2500 0.2500 0.2500
15 O 0.3718 0.9365 0.5970
16 O 0.4030 0.6282 0.0635
17 O 0.4365 0.8718 0.0970
18 O 0.5635 0.1282 0.9030
19 O 0.5970 0.3718 0.9365
20 O 0.6282 0.0635 0.4030
21 O 0.7500 0.7500 0.7500
22 O 0.8718 0.0970 0.4365
23 O 0.9030 0.5635 0.1282
24 O 0.9365 0.5970 0.3718

Most intense lines, 2θ from 10° to 90°, in order of rising 2θ:
d_spacing  2θ (°)  intensity
7.856  11.3  100
4.146  21.4  28
3.966  22.4  47
3.928  22.6  35
3.426  26.0  65
2.630  34.1  67
2.432  37.0  31
2.206  40.9  31
2.073  43.7  32
1.782  51.3  21

---

Record 2
Starting from a crystal structure in the Materials Project, relaxed with GGA-PBE, the powder diffraction line list of Pr3OsI3 was calculated for λ = 1.5418 Å (Cu Kα).
Lines closer than 0.1° are merged.

Structure:
Cell: 9.4365 4.3754 12.7428 Å, 90.00 93.08 90.00°
Fractional positions:
1 Pr 0.0943 0.2500 0.3904
2 Pr 0.1164 0.2500 0.8315
3 Pr 0.3085 0.7500 0.6189
4 Pr 0.6915 0.2500 0.3811
5 Pr 0.8836 0.7500 0.1685
6 Pr 0.9057 0.7500 0.6096
7 Os 0.1105 0.2500 0.6202
8 Os 0.8895 0.7500 0.3798
9 I 0.1302 0.2500 0.1183
10 I 0.3648 0.7500 0.8760
11 I 0.3950 0.7500 0.3683
12 I 0.6050 0.2500 0.6317
13 I 0.6352 0.2500 0.1240
14 I 0.8698 0.7500 0.8817

Most intense lines, 2θ from 10° to 90°, in order of rising 2θ:
d_spacing  2θ (°)  intensity
7.775  11.4  15
3.206  27.8  100
3.181  28.0  46
2.550  35.2  13
2.356  38.2  14
2.301  39.2  33
2.218  40.7  29
2.188  41.3  20
1.944  46.7  10
1.803  50.6  18

---

Record 3
Starting from a crystal structure in the Materials Project, relaxed with GGA-PBE, the powder diffraction line list of Gd2TeO2 was calculated for λ = 1.5418 Å (Cu Kα).
Lines closer than 0.1° are merged.

Structure:
Cell: 6.9421 6.9421 6.9421 Å, 146.67 146.67 47.85°
Fractional positions:
1 Gd 0.1611 0.1611 0.0000
2 Gd 0.8389 0.8389 0.0000
3 Te 0.5000 0.5000 0.0000
4 O 0.2500 0.7500 0.5000
5 O 0.7500 0.2500 0.5000

Most intense lines, 2θ from 10° to 90°, in order of rising 2θ:
d_spacing  2θ (°)  intensity
2.899  30.8  100
2.815  31.8  39
2.115  42.8  9
1.991  45.6  20
1.691  54.2  23
1.641  56.0  37
1.450  64.3  11
1.329  70.9  9
1.266  75.0  8
1.105  88.4  10

---

Record 4
Starting from a crystal structure in the Materials Project, relaxed with GGA-PBE, the powder diffraction line list of Fe2Pb3N4 was calculated for λ = 1.5418 Å (Cu Kα).
Lines closer than 0.1° are merged.

Structure:
Cell: 8.6876 8.6876 5.3399 Å, 106.80 106.80 54.23°
Fractional positions:
1 Fe 0.1060 0.3380 0.4029
2 Fe 0.3380 0.1060 0.9029
3 Fe 0.6620 0.8940 0.0971
4 Fe 0.8940 0.6620 0.5971
5 Pb 0.1257 0.8743 0.7500
6 Pb 0.1984 0.5556 0.1344
7 Pb 0.4444 0.8016 0.3656
8 Pb 0.5556 0.1984 0.6344
9 Pb 0.8016 0.4444 0.8656
10 Pb 0.8743 0.1257 0.2500
11 N 0.1335 0.2666 0.0607
12 N 0.1428 0.5378 0.5542
13 N 0.2666 0.1335 0.5607
14 N 0.4622 0.8572 0.9458
15 N 0.5378 0.1428 0.0542
16 N 0.7334 0.8665 0.4393
17 N 0.8572 0.4622 0.4458
18 N 0.8665 0.7334 0.9393

Most intense lines, 2θ from 10° to 90°, in order of rising 2θ:
d_spacing  2θ (°)  intensity
4.152  21.4  32
3.116  28.6  100
3.100  28.8  49
2.844  31.5  82
2.795  32.0  94
2.744  32.6  37
2.669  33.6  65
2.321  38.8  29
1.960  46.3  25
1.591  58.0  22

---

Record 5
Starting from a crystal structure in the Materials Project, relaxed with GGA-PBE, the powder diffraction line list of CeSe2 was calculated for λ = 1.5418 Å (Cu Kα).
Lines closer than 0.1° are merged.

Structure:
Cell: 5.4440 5.4440 5.4440 Å, 138.73 138.73 59.79°
Fractional positions:
1 Ce 0.0000 0.0000 0.0000
2 Se 0.3465 0.3465 0.0000
3 Se 0.6535 0.6535 0.0000

Most intense lines, 2θ from 10° to 90°, in order of rising 2θ:
d_spacing  2θ (°)  intensity
4.720  18.8  11
2.713  33.0  70
2.433  36.9  100
1.919  47.4  25
1.507  61.6  44
1.361  69.0  14
1.357  69.3  8
1.217  78.6  10
1.213  78.9  11
1.185  81.2  10

---

Record 6
Starting from a crystal structure in the Materials Project, relaxed with GGA-PBE, the powder diffraction line list of Sm3Te4 was calculated for λ = 1.5418 Å (Cu Kα).
Lines closer than 0.1° are merged.

Structure:
Cell: 8.1956 8.1956 8.1956 Å, 109.47 109.47 109.47°
Fractional positions:
1 Sm 0.1250 0.7500 0.8750
2 Sm 0.2500 0.6250 0.3750
3 Sm 0.3750 0.2500 0.6250
4 Sm 0.6250 0.3750 0.2500
5 Sm 0.7500 0.8750 0.1250
6 Sm 0.8750 0.1250 0.7500
7 Te 0.0000 0.3536 0.5000
8 Te 0.0000 0.8536 0.5000
9 Te 0.1464 0.1464 0.1464
10 Te 0.3536 0.5000 0.0000
11 Te 0.5000 0.0000 0.3536
12 Te 0.5000 0.0000 0.8536
13 Te 0.6464 0.6464 0.6464
14 Te 0.8536 0.5000 0.0000

Most intense lines, 2θ from 10° to 90°, in order of rising 2θ:
d_spacing  2θ (°)  intensity
2.993  29.9  100
2.529  35.5  67
2.116  42.7  17
2.018  44.9  12
1.932  47.0  14
1.856  49.1  19
1.535  60.3  28
1.496  62.0  11
1.460  63.7  14
1.288  73.5  17